1.
Tb4SmHo3Se8: calculated powder XRD pattern (Cu Kα, 1.54184 Å), based on the GGA-PBE geometry in Alexandria.
No peak broadening, texture or thermal motion is included.

Most intense lines, 2θ = 5–70°, sorted by position:
3.341 Å, 2θ 26.68, intensity 21; 2.893 Å, 2θ 30.91, intensity 100; 2.046 Å, 2θ 44.27, intensity 74; 1.745 Å, 2θ 52.45, intensity 10; 1.670 Å, 2θ 54.97, intensity 26; 1.447 Å, 2θ 64.41, intensity 12

Cell and atoms:
Lattice parameters (Å, degrees): 8.184 8.184 8.184 59.99 59.99 59.99
Element x y z (fractional)
Tb  0.000  0.000  0.000
Tb  0.000  0.500  0.500
Tb  0.500  0.000  0.500
Tb  0.500  0.500  0.000
Sm  0.500  0.500  0.500
Ho  0.000  0.000  0.500
Ho  0.000  0.500  0.000
Ho  0.500  0.000  0.000
Se  0.245  0.752  0.752
Se  0.248  0.248  0.755
Se  0.248  0.755  0.248
Se  0.249  0.249  0.249
Se  0.751  0.751  0.751
Se  0.752  0.245  0.752
Se  0.752  0.752  0.245
Se  0.755  0.248  0.248

=====

2.
Sm2Ho2Te2Se3: calculated powder XRD pattern (Cu Kα, 1.54184 Å), based on the GGA-PBE geometry in Alexandria.
No peak broadening, texture or thermal motion is included.

Most intense lines, 2θ = 5–70°, sorted by position:
3.962 Å, 2θ 22.44, intensity 13; 3.537 Å, 2θ 25.18, intensity 12; 2.796 Å, 2θ 32.01, intensity 100; 2.758 Å, 2θ 32.46, intensity 39; 2.284 Å, 2θ 39.45, intensity 9; 1.976 Å, 2θ 45.92, intensity 24; 1.963 Å, 2θ 46.25, intensity 29; 1.772 Å, 2θ 51.59, intensity 8; 1.615 Å, 2θ 57.03, intensity 17; 1.393 Å, 2θ 67.22, intensity 9

Cell and atoms:
Lattice parameters (Å, degrees): 8.859 8.859 8.859 143.22 143.22 52.99
Element x y z (fractional)
Sm  0.194  0.194  0.000
Sm  0.806  0.806  0.000
Ho  0.000  0.500  0.500
Ho  0.500  0.000  0.500
Te  0.394  0.394  0.000
Te  0.606  0.606  0.000
Se  0.000  0.000  0.000
Se  0.250  0.750  0.500
Se  0.750  0.250  0.500

=====

3.
Sm2HoTmSe5: calculated powder XRD pattern (Cu Kα, 1.54184 Å), based on the GGA-PBE geometry in Alexandria.
No peak broadening, texture or thermal motion is included.

Most intense lines, 2θ = 5–70°, sorted by position:
10.659 Å, 2θ 8.30, intensity 55; 3.680 Å, 2θ 24.18, intensity 29; 3.598 Å, 2θ 24.75, intensity 100; 2.913 Å, 2θ 30.69, intensity 35; 2.544 Å, 2θ 35.28, intensity 84; 2.528 Å, 2θ 35.51, intensity 42; 2.361 Å, 2θ 38.12, intensity 33; 1.840 Å, 2θ 49.54, intensity 24; 1.799 Å, 2θ 50.75, intensity 30; 1.730 Å, 2θ 52.91, intensity 25

Cell and atoms:
Lattice parameters (Å, degrees): 5.088 5.088 10.659 90.00 90.00 90.00
Element x y z (fractional)
Sm  0.000  0.000  0.175
Sm  0.000  0.000  0.825
Ho  0.500  0.500  0.500
Tm  0.500  0.500  0.000
Se  0.000  0.000  0.500
Se  0.000  0.500  0.000
Se  0.500  0.000  0.000
Se  0.500  0.500  0.253
Se  0.500  0.500  0.747